Calculated powder diffractogram
Compound: Ac9Pm2Er
Radiation: copper Kα
Structure: DFT lattice parameters and positions (PBE)

Cell and atoms:
Unit cell a=5.504 b=5.504 c=16.536 alpha=90.00 beta=90.00 gamma=90.00
Space group P4/mmm (No. 123)
One atom of each set of equivalent atoms:
Ac (0.000, 0.000, 0.000) [1 per cell]
Ac (0.000, 0.000, 0.333) [2 per cell]
Ac (0.000, 0.500, 0.165) [4 per cell]
Ac (0.000, 0.500, 0.500) [2 per cell]
Pm (0.500, 0.500, 0.332) [2 per cell]
Er (0.500, 0.500, 0.000) [1 per cell]

The 10 most intense peaks (2θ from 10° to 90°), by angle:
2θ/deg  Rel. int.  index
28.07  100  1 1 3
32.52  51  2 0 0
46.65  38  2 2 0
55.33  47  3 1 3
58.02  14  2 2 6
68.14  4  4 0 0
75.21  19  3 3 3
77.50  12  4 0 6
77.57  6  4 2 0
86.60  14  4 2 6



Calculated powder diffractogram
Compound: Sm5YTm3
Radiation: copper Kα
Structure: DFT lattice parameters and positions (PBE)

Cell and atoms:
Unit cell a=7.263 b=17.398 c=9.291 alpha=90.00 beta=90.00 gamma=90.00
Space group Imma (No. 74)
One atom of each set of equivalent atoms:
Sm (0.000, 0.250, 0.046) [4 per cell]
Sm (0.246, 0.086, 0.073) [16 per cell]
Y (0.000, 0.250, 0.414) [4 per cell]
Tm (0.000, 0.072, 0.747) [8 per cell]
Tm (0.250, 0.250, 0.750) [4 per cell]

The 10 most intense peaks (2θ from 10° to 90°), by angle:
2θ/deg  Rel. int.  index
29.29  52  0 1 3
30.60  100  2 3 1
30.84  58  0 6 0
32.96  58  2 2 2
37.63  30  2 4 2
38.93  29  0 5 3
50.25  17  4 0 0
52.88  18  2 8 2
57.98  29  2 3 5
60.12  17  4 6 0



Calculated powder diffractogram
Compound: TbNd5Dy6
Radiation: copper Kα
Structure: DFT lattice parameters and positions (PBE)

Cell and atoms:
Unit cell a=6.250 b=10.822 c=11.864 alpha=90.00 beta=100.07 gamma=90.00
Space group C2/m (No. 12)
One atom of each set of equivalent atoms:
Tb (0.000, 0.000, 0.000) [2 per cell]
Nd (0.000, 0.167, 0.500) [4 per cell]
Nd (0.000, 0.333, 0.000) [4 per cell]
Nd (0.000, 0.500, 0.500) [2 per cell]
Dy (0.249, 0.166, 0.249) [8 per cell]
Dy (0.250, 0.000, 0.751) [4 per cell]

The 10 most intense peaks (2θ from 10° to 90°), by angle:
2θ/deg  Rel. int.  index
30.37  100  1 3 1
30.61  33  0 0 4
35.28  67  2 0 2
50.60  24  0 6 0
50.91  24  1 3 5
60.17  14  4 0 0
60.31  29  3 3 3
60.59  14  2 0 6
63.19  12  2 6 2
82.40  12  4 6 0



Calculated powder diffractogram
Compound: Pr2HoTmS5
Radiation: copper Kα
Structure: DFT lattice parameters and positions (PBE)

Cell and atoms:
Unit cell a=4.839 b=4.839 c=10.243 alpha=90.00 beta=90.00 gamma=90.00
Space group P4/mmm (No. 123)
One atom of each set of equivalent atoms:
Pr (0.000, 0.000, 0.209) [2 per cell]
Ho (0.500, 0.500, 0.500) [1 per cell]
Tm (0.500, 0.500, 0.000) [1 per cell]
S (0.000, 0.000, 0.500) [1 per cell]
S (0.000, 0.500, 0.000) [2 per cell]
S (0.500, 0.500, 0.255) [2 per cell]

The 10 most intense peaks (2θ from 10° to 90°), by angle:
2θ/deg  Rel. int.  index
25.32  100  1 0 2
26.04  91  1 1 0
32.08  15  1 0 3
35.04  20  0 0 4
37.17  63  2 0 0
44.18  28  1 1 4
45.50  44  2 1 2
52.00  27  2 0 4
53.56  17  2 2 0
60.50  18  3 1 0



Calculated powder diffractogram
Compound: Th2P3IrRh4
Radiation: copper Kα
Structure: DFT lattice parameters and positions (PBE)

Cell and atoms:
Unit cell a=3.973 b=3.973 c=10.943 alpha=90.00 beta=90.00 gamma=90.00
Space group P-4m2 (No. 115)
One atom of each set of equivalent atoms:
Th (0.000, 0.500, 0.238) [2 per cell]
P (0.000, 0.000, 0.000) [1 per cell]
P (0.000, 0.500, 0.622) [2 per cell]
Ir (0.500, 0.500, 0.000) [1 per cell]
Rh (0.000, 0.000, 0.500) [1 per cell]
Rh (0.000, 0.500, 0.829) [2 per cell]
Rh (0.500, 0.500, 0.500) [1 per cell]

The 10 most intense peaks (2θ from 10° to 90°), by angle:
2θ/deg  Rel. int.  index
23.83  20  1 0 1
32.73  17  0 0 4
33.35  30  1 0 3
35.93  100  1 1 2
45.67  35  2 0 0
47.42  20  1 0 5
57.32  14  2 0 4
57.71  13  2 1 3
67.95  14  2 1 5
78.04  21  3 1 2



Calculated powder diffractogram
Compound: TlTeP2S8
Radiation: copper Kα
Structure: DFT lattice parameters and positions (PBE)

Cell and atoms:
Unit cell a=6.0357 b=6.0357 c=29.0792 alpha=90.00 beta=90.00 gamma=120.00
Space group R-3 (No. 148, hexagonal axes)
One atom of each set of equivalent atoms:
Tl (0.0000, 0.0000, 0.0000) [3 per cell]
Te (0.0000, 0.0000, 0.5000) [3 per cell]
P (0.0000, 0.0000, 0.2432) [6 per cell]
S (0.0000, 0.0000, 0.3119) [6 per cell]
S (0.0073, 0.3557, 0.5566) [18 per cell]

The 10 most intense peaks (2θ from 10° to 90°), by angle:
2θ/deg  Rel. int.  index
18.03  37  0 1 2
20.93  100  1 0 4
29.60  36  1 1 0
29.94  30  0 1 8
31.04  28  1 1 3
35.03  56  2 -1 6
36.54  26  0 2 4
47.70  24  2 1 4
48.16  29  1 1 12
52.52  23  3 0 0